Entry 1:
Li3AlF6: simulated powder diffraction line list (a wavelength of 1.5418 Å), based on a cell relaxed with GGA-PBE.
Peak positions follow from Bragg's law for the DFT cell and can differ from measured ones.

Largest 6 diffraction maxima, in order of rising 2θ, 15 to 90 degrees two-theta:
two_theta	I_rel
20.9	37
21.2	96
41.0	52
41.7	100
53.0	26
53.5	33

Structural model:
Cell: 9.671 8.350 4.947 Å, 90.00 90.00 90.00°
Positions (direct):
Li: 0.106 0.044 0.000
Li: 0.125 0.649 0.487
Li: 0.146 0.453 0.992
Li: 0.354 0.953 0.492
Li: 0.375 0.149 0.987
Li: 0.394 0.544 0.500
Li: 0.606 0.456 0.000
Li: 0.625 0.851 0.487
Li: 0.646 0.047 0.992
Li: 0.854 0.547 0.492
Li: 0.875 0.351 0.987
Li: 0.894 0.956 0.500
Al: 0.128 0.260 0.495
Al: 0.372 0.760 0.995
Al: 0.628 0.240 0.495
Al: 0.872 0.740 0.995
F: 0.013 0.409 0.664
F: 0.024 0.257 0.187
F: 0.029 0.098 0.644
F: 0.223 0.433 0.357
F: 0.236 0.266 0.797
F: 0.244 0.119 0.321
F: 0.256 0.619 0.821
F: 0.264 0.766 0.297
F: 0.277 0.933 0.857
F: 0.471 0.598 0.144
F: 0.476 0.757 0.687
F: 0.487 0.909 0.164
F: 0.513 0.091 0.664
F: 0.524 0.243 0.187
F: 0.529 0.402 0.644
F: 0.723 0.067 0.357
F: 0.736 0.234 0.797
F: 0.744 0.381 0.321
F: 0.756 0.881 0.821
F: 0.764 0.734 0.297
F: 0.777 0.567 0.857
F: 0.971 0.902 0.144
F: 0.976 0.743 0.687
F: 0.987 0.591 0.164

Entry 2:
Li3AlF6: simulated powder diffraction line list (a wavelength of 1.5418 Å), based on a cell relaxed with GGA-PBE.
Peak positions follow from Bragg's law for the DFT cell and can differ from measured ones.

Largest 6 diffraction maxima, in order of rising 2θ, 15 to 90 degrees two-theta:
two_theta	I_rel
20.5	42
23.7	100
41.6	59
48.4	76
54.6	29
70.9	37

Structural model:
Cell: 5.319 5.319 5.319 Å, 60.00 60.00 60.00°
Positions (direct):
Li: 0.000 0.000 0.000
Li: 0.250 0.250 0.250
Li: 0.750 0.750 0.750
Al: 0.500 0.500 0.500
F: 0.260 0.260 0.740
F: 0.260 0.740 0.260
F: 0.260 0.740 0.740
F: 0.740 0.260 0.260
F: 0.740 0.260 0.740
F: 0.740 0.740 0.260